Calculated powder diffractogram of HgPb4 for Cu Kα, from a structure optimized by DFT (PBE).
Intensities are scaled so that the largest is 100.

Main lines, sorted by position (15 to 90 degrees two-theta):
2θ (°)	d_spacing	I/Imax
30.1	2.965	36.0
31.5	2.840	100.0
36.1	2.485	69.0
51.2	1.786	24.8
52.9	1.730	24.1
60.5	1.530	14.5
62.1	1.494	28.9
62.9	1.477	14.4

```
HgPb4
1.0
1.730 0.999 14.825
-1.730 0.999 14.825
0.000 -1.998 14.825
Hg Pb
1 4
direct
0.000 0.000 0.000
0.201 0.201 0.201
0.397 0.397 0.397
0.603 0.603 0.603
0.799 0.799 0.799
```

Calculated powder diffractogram of Hg3Pb for Cu Kα, from a structure optimized by DFT (PBE).
Intensities are scaled so that the largest is 100.

Main lines, sorted by position (15 to 90 degrees two-theta):
2θ (°)	d_spacing	I/Imax
29.6	3.016	34.2
33.2	2.697	100.0
36.5	2.462	79.7
54.9	1.673	24.5
57.1	1.612	44.7
61.5	1.508	17.7
71.7	1.316	22.5
87.0	1.120	21.5

```
Hg3Pb
1.0
6.031 0.000 0.000
0.000 6.031 0.000
0.000 0.000 6.031
Hg Pb
6 2
direct
0.000 0.250 0.500
0.000 0.750 0.500
0.250 0.500 0.000
0.500 0.000 0.250
0.500 0.000 0.750
0.750 0.500 0.000
0.000 0.000 0.000
0.500 0.500 0.500
```

Calculated powder diffractogram of Hg3Pb7 for Cu Kα, from a structure optimized by DFT (PBE).
Intensities are scaled so that the largest is 100.

Main lines, sorted by position (15 to 90 degrees two-theta):
2θ (°)	d_spacing	I/Imax
31.5	2.840	100.0
31.6	2.828	99.8
36.2	2.481	36.1
36.8	2.445	32.6
36.9	2.438	32.9
52.6	1.740	48.1
62.2	1.491	29.9
63.1	1.474	26.6

```
Hg3Pb7
1.0
8.774 -2.481 0.000
8.774 2.481 0.000
-1.349 0.000 6.793
Hg Pb
3 7
direct
0.000 0.000 0.000
0.197 0.197 0.610
0.803 0.803 0.390
0.000 0.000 0.500
0.202 0.202 0.115
0.392 0.392 0.683
0.402 0.402 0.186
0.598 0.598 0.814
0.608 0.608 0.317
0.798 0.798 0.885
```

Calculated powder diffractogram of Hg3Pb2 for Cu Kα, from a structure optimized by DFT (PBE).
Intensities are scaled so that the largest is 100.

Main lines, sorted by position (15 to 90 degrees two-theta):
2θ (°)	d_spacing	I/Imax
30.8	2.899	68.8
34.7	2.585	100.0
35.3	2.540	73.1
36.5	2.459	60.9
53.1	1.726	28.7
58.2	1.585	25.6
61.0	1.519	21.9
64.2	1.450	22.8

```
Hg3Pb2
1.0
3.038 1.754 9.266
-3.038 1.754 9.266
0.000 -3.508 9.266
Hg Pb
6 4
direct
0.211 0.750 0.289
0.250 0.711 0.789
0.289 0.211 0.750
0.711 0.789 0.250
0.750 0.289 0.211
0.789 0.250 0.711
0.186 0.186 0.186
0.314 0.314 0.314
0.686 0.686 0.686
0.814 0.814 0.814
```

Calculated powder diffractogram of Hg4Pb for Cu Kα, from a structure optimized by DFT (PBE).
Intensities are scaled so that the largest is 100.

Main lines, sorted by position (15 to 90 degrees two-theta):
2θ (°)	d_spacing	I/Imax
32.1	2.789	100.0
32.8	2.727	93.7
36.2	2.480	36.4
38.4	2.346	62.1
53.8	1.704	47.5
65.0	1.435	27.1
66.4	1.409	25.2
89.4	1.096	18.7

```
Hg4Pb
1.0
-1.687 2.480 8.161
1.687 -2.480 8.161
1.687 2.480 -8.161
Hg Pb
4 1
direct
0.103 0.103 0.000
0.298 0.298 0.000
0.702 0.702 0.000
0.897 0.897 0.000
0.500 0.500 0.000
```

Calculated powder diffractogram of Hg4Pb5 for Cu Kα, from a structure optimized by DFT (PBE).
Intensities are scaled so that the largest is 100.

Main lines, sorted by position (15 to 90 degrees two-theta):
2θ (°)	d_spacing	I/Imax
31.1	2.877	61.0
33.6	2.665	100.0
44.5	2.034	23.1
56.9	1.617	45.0
61.7	1.504	18.0
70.7	1.333	12.1
73.6	1.287	10.6
75.0	1.266	10.1

```
Hg4Pb5
1.0
-6.103 6.103 1.764
6.103 -6.103 1.764
6.103 6.103 -1.764
Hg Pb
4 5
direct
0.000 0.340 0.340
0.000 0.660 0.660
0.340 0.000 0.340
0.660 0.000 0.660
0.000 0.000 0.000
0.333 0.333 0.666
0.333 0.667 0.000
0.667 0.333 0.000
0.667 0.667 0.334
```

Calculated powder diffractogram of HgPb5 for Cu Kα, from a structure optimized by DFT (PBE).
Intensities are scaled so that the largest is 100.

Main lines, sorted by position (15 to 90 degrees two-theta):
2θ (°)	d_spacing	I/Imax
29.5	3.029	30.6
31.3	2.853	42.8
33.1	2.703	62.9
33.5	2.676	100.0
43.6	2.077	21.8
51.8	1.764	20.6
57.2	1.611	22.4
61.8	1.500	24.5

```
HgPb5
1.0
5.707 0.000 0.000
0.000 1.742 9.206
0.000 -1.742 9.206
Hg Pb
1 5
direct
0.000 0.000 0.000
0.000 0.332 0.332
0.000 0.663 0.663
0.500 0.226 0.226
0.500 0.560 0.560
0.500 0.896 0.896
```

Calculated powder diffractogram of Hg3Pb4 for Cu Kα, from a structure optimized by DFT (PBE).
Intensities are scaled so that the largest is 100.

Main lines, sorted by position (15 to 90 degrees two-theta):
2θ (°)	d_spacing	I/Imax
31.2	2.864	51.8
31.6	2.829	100.0
33.1	2.710	43.4
36.1	2.489	71.2
38.8	2.323	27.9
52.8	1.735	23.7
55.2	1.665	19.5
61.2	1.514	15.9

```
Hg3Pb4
1.0
7.292 -1.783 0.000
7.292 1.783 0.000
-2.473 0.000 7.768
Hg Pb
3 4
direct
0.000 0.000 0.000
0.570 0.570 0.740
0.709 0.709 0.165
0.138 0.138 0.443
0.274 0.274 0.876
0.430 0.430 0.286
0.860 0.860 0.588
```